For CoF6, a cell relaxed with GGA+U gives the theoretical powder X-ray diffraction pattern in this record (Cu Kα (λ = 1.5418 Å)).
Neutral-atom scattering factors, no anomalous dispersion.

Largest 10 diffraction maxima, sorted by position, 10° ≤ 2θ ≤ 90°:
h k l	d (Å)	Position (°2θ)	I_rel
1 0 1	4.396	20.20	39.1
0 1 1	4.290	20.70	36.8
0 2 0	4.267	20.82	56.1
2 1 0	4.141	21.46	100.0
1 1 1	3.908	22.75	58.9
2 0 1	3.426	26.01	17.7
1 2 1	3.062	29.17	24.9
2 0 2	2.198	41.06	15.2
2 3 1	2.189	41.25	32.7
3 3 1	1.944	46.72	21.5

Crystal structure
```
CoF6
1.0
9.4707 0.0000 0.0000
0.0000 8.5344 0.0000
0.0000 0.0000 4.9632
Co F
4 24
direct
0.1305 0.2500 0.0953
0.3695 0.7500 0.5953
0.6305 0.2500 0.4047
0.8695 0.7500 0.9047
0.0147 0.2500 0.8203
0.0286 0.1048 0.2517
0.0286 0.3952 0.2517
0.2327 0.1051 0.9396
0.2327 0.3949 0.9396
0.2458 0.2500 0.3715
0.2542 0.7500 0.8715
0.2673 0.6051 0.4396
0.2673 0.8949 0.4396
0.4714 0.6048 0.7517
0.4714 0.8952 0.7517
0.4853 0.7500 0.3203
0.5147 0.2500 0.6797
0.5286 0.1048 0.2483
0.5286 0.3952 0.2483
0.7327 0.1051 0.5604
0.7327 0.3949 0.5604
0.7458 0.2500 0.1285
0.7542 0.7500 0.6285
0.7673 0.6051 0.0604
0.7673 0.8949 0.0604
0.9714 0.6048 0.7483
0.9714 0.8952 0.7483
0.9853 0.7500 0.1797
```